This entry pairs a crystal structure of Li3Ni2P3O12 with its computed powder XRD pattern. Radiation: Cu Kα (weighted mean of Kα1 and Kα2). Structure: a DFT-relaxed cell (PBE+U, the Materials Project).
Peak positions follow from Bragg's law for the DFT cell and can differ from measured ones.

Crystal structure
```
data_Li3Ni2P3O12
_chemical_formula_sum 'Li6 Ni4 P6 O24'
_cell_length_a 4.8982
_cell_length_b 4.8982
_cell_length_c 18.8091
_cell_angle_alpha 90.10
_cell_angle_beta 90.10
_cell_angle_gamma 65.81
_space_group_name_H-M_alt 'P 1'
_space_group_IT_number 1
_space_group_name_Hall 'P 1'
loop_
_atom_site_label
_atom_site_fract_x
_atom_site_fract_y
_atom_site_fract_z
Li1 0.9997 0.9997 0.1664
Li2 0.0003 0.0003 0.8336
Li3 0.3277 0.3277 0.0837
Li4 0.3289 0.3289 0.7518
Li5 0.6711 0.6711 0.2482
Li6 0.6723 0.6723 0.9163
Ni1 0.0000 0.0000 0.0000
Ni2 0.0000 0.0000 0.5000
Ni3 0.0006 0.0006 0.3342
Ni4 0.9994 0.9994 0.6658
P1 0.3548 0.3548 0.2521
P2 0.3547 0.3547 0.5836
P3 0.3562 0.3562 0.9189
P4 0.6438 0.6438 0.0811
P5 0.6453 0.6453 0.4164
P6 0.6452 0.6452 0.7479
O1 0.2241 0.7034 0.5830
O2 0.2325 0.7033 0.2536
O3 0.2352 0.7048 0.9199
O4 0.2423 0.2423 0.3173
O5 0.2453 0.2453 0.9850
O6 0.2461 0.2461 0.5163
O7 0.2511 0.2511 0.6528
O8 0.2546 0.2546 0.8497
O9 0.2564 0.2564 0.1819
O10 0.2952 0.7648 0.0801
O11 0.2967 0.7675 0.7464
O12 0.2967 0.7759 0.4170
O13 0.7034 0.2241 0.5830
O14 0.7033 0.2325 0.2536
O15 0.7048 0.2352 0.9199
O16 0.7436 0.7436 0.8181
O17 0.7454 0.7454 0.1503
O18 0.7489 0.7489 0.3472
O19 0.7539 0.7539 0.4837
O20 0.7547 0.7547 0.0150
O21 0.7577 0.7577 0.6827
O22 0.7648 0.2952 0.0801
O23 0.7675 0.2967 0.7464
O24 0.7759 0.2967 0.4170
```

The 10 most intense peaks (5 to 70 degrees two-theta), in order of rising 2θ:
2theta  d/Å  I (rel.)
14.13  6.270  25
24.48  3.637  82
25.89  3.441  52
33.68  2.661  38
34.97  2.566  100
36.88  2.437  50
44.67  2.029  24
50.14  1.819  23
64.48  1.445  20
64.58  1.443  21